The following is a simulated PXRD pattern of PmAlTeO5. It was derived from a DFT-relaxed cell (PBE, Alexandria), using Cu Kα X-rays.
Neutral-atom scattering factors, no anomalous dispersion.

The 10 most intense peaks (2θ = 15–90°), most intense first:
d_spacing	I_rel
3.158	100
4.240	89
3.458	88
3.478	78
2.689	72
2.533	62
2.680	61
2.580	53
3.727	48
2.075	47

Crystal structure
```
PmAlTeO5
1.0
3.7682 -4.2400 0.0000
3.7682 4.2400 0.0000
-3.0100 0.0000 6.9563
Pm Al Te O
2 2 2 10
Direct
0.0502 0.9498 0.7500 Pm
0.9498 0.0502 0.2500 Pm
0.0000 0.5000 0.0000 Al
0.5000 0.0000 0.5000 Al
0.4723 0.5277 0.7500 Te
0.5277 0.4723 0.2500 Te
0.1747 0.2451 0.0553 O
0.2217 0.7783 0.2500 O
0.2240 0.6156 0.8757 O
0.2451 0.1747 0.5553 O
0.3844 0.7760 0.6243 O
0.6156 0.2240 0.3757 O
0.7549 0.8253 0.4447 O
0.7760 0.3844 0.1243 O
0.7783 0.2217 0.7500 O
0.8253 0.7549 0.9447 O
```